Starting from the GGA+U geometry in the Materials Project, the powder diffraction line list of NdMn4CoO12 was simulated for copper Kα.
Neutral-atom scattering factors, no anomalous dispersion.

The 8 most intense peaks (2θ from 5° to 70°), by angle:
- 20.70 deg, intensity 100
- 33.72 deg, intensity 46
- 33.84 deg, intensity 32
- 34.81 deg, intensity 46
- 39.03 deg, intensity 19
- 40.75 deg, intensity 19
- 59.75 deg, intensity 20
- 61.65 deg, intensity 21

Crystal structure
Cell: 7.744 5.153 5.153 Å, 90.38 90.00 90.00°
Atoms (fractional coordinates):
Nd1 0.000 0.000 0.000
Mn1 0.260 0.032 0.531
Mn2 0.260 0.531 0.032
Mn3 0.740 0.032 0.531
Mn4 0.740 0.531 0.032
Co1 0.500 0.556 0.556
O1 0.000 0.093 0.488
O2 0.000 0.488 0.093
O3 0.198 0.725 0.725
O4 0.254 0.213 0.853
O5 0.254 0.853 0.213
O6 0.327 0.365 0.365
O7 0.500 0.554 0.920
O8 0.500 0.920 0.554
O9 0.673 0.365 0.365
O10 0.746 0.213 0.853
O11 0.746 0.853 0.213
O12 0.802 0.725 0.725